# 1
Li9Mn7O16: computed X-ray diffraction stick pattern (Cu Kα, 1.54184 Å), based on DFT lattice parameters and positions (GGA+U).
Peak positions follow from Bragg's law for the DFT cell and can differ from measured ones.

The 12 most intense peaks (2θ from 5° to 70°), by intensity:
2theta, I_rel
18.30, 100
40.83, 35
44.13, 28
44.30, 27
36.22, 24
33.95, 19
61.52, 17
63.81, 9
61.80, 8
62.13, 8
64.79, 7
46.77, 6

Cell and atoms:
a b c (Å): 5.9946 7.6736 7.7707
angles (deg): 64.22 70.81 70.97
Space group P-1 (No. 2)
Unique sites:
Li 0.0000 0.0000 0.0000 (multiplicity 1)
Li 0.0000 0.5000 0.5000 (multiplicity 1)
Li 0.1218 0.3751 0.8635 (multiplicity 2)
Li 0.2522 0.7498 0.7487 (multiplicity 2)
Li 0.3668 0.1322 0.6227 (multiplicity 2)
Li 0.5000 0.5000 0.5000 (multiplicity 1)
Mn 0.1193 0.8740 0.3745 (multiplicity 2)
Mn 0.2428 0.2522 0.2540 (multiplicity 2)
Mn 0.3685 0.6224 0.1317 (multiplicity 2)
Mn 0.5000 0.0000 0.0000 (multiplicity 1)
O 0.0084 0.7640 0.2499 (multiplicity 2)
O 0.0858 0.6509 0.6265 (multiplicity 2)
O 0.1269 0.1245 0.1410 (multiplicity 2)
O 0.2471 0.4943 0.0247 (multiplicity 2)
O 0.2555 0.0055 0.4763 (multiplicity 2)
O 0.3781 0.3753 0.3575 (multiplicity 2)
O 0.4155 0.8582 0.8782 (multiplicity 2)
O 0.4948 0.2497 0.7671 (multiplicity 2)


# 2
Li2Fe3CoO8: computed X-ray diffraction stick pattern (Cu Kα, 1.54184 Å), based on DFT lattice parameters and positions (GGA+U).
Peak positions follow from Bragg's law for the DFT cell and can differ from measured ones.

The 12 most intense peaks (2θ from 5° to 70°), by intensity:
2theta, I_rel
35.56, 100
18.48, 65
43.30, 41
21.26, 33
30.33, 31
62.71, 28
63.09, 25
57.22, 21
57.41, 19
35.75, 14
18.35, 13
65.99, 10

Cell and atoms:
a b c (Å): 5.9263 5.9263 14.4000
angles (deg): 90.00 90.00 120.00
Space group R3m (No. 160, hexagonal axes)
Unique sites:
Li 0.0000 0.0000 0.0000 (multiplicity 3)
Li 0.0000 0.0000 0.3789 (multiplicity 3)
Fe 0.1699 0.3399 0.8317 (multiplicity 9)
Co 0.0000 0.0000 0.6154 (multiplicity 3)
O 0.0000 0.0000 0.2447 (multiplicity 3)
O 0.0000 0.0000 0.7516 (multiplicity 3)
O 0.0305 0.5153 0.7611 (multiplicity 9)
O 0.1801 0.3601 0.5711 (multiplicity 9)